1.
Na2Ti3FeP6O24: calculated PXRD pattern (Cu Kα (λ = 1.5418 Å)), based on a DFT-relaxed cell (PBE+U, Alexandria).
No peak broadening, texture or thermal motion is included.

```
Na2Ti3FeP6O24
1.0
4.316 2.492 7.359
-4.316 2.492 7.359
0.000 -4.984 7.359
Na Ti Fe P O
2 3 1 6 24
Direct
0.000 0.000 0.000 Na
0.499 0.499 0.499 Na
0.353 0.353 0.353 Ti
0.644 0.644 0.644 Ti
0.854 0.854 0.854 Ti
0.144 0.144 0.144 Fe
0.038 0.461 0.748 P
0.248 0.960 0.536 P
0.461 0.748 0.038 P
0.536 0.248 0.960 P
0.748 0.038 0.461 P
0.960 0.536 0.248 P
0.003 0.631 0.784 O
0.055 0.279 0.919 O
0.073 0.942 0.719 O
0.130 0.501 0.286 O
0.221 0.984 0.369 O
0.222 0.437 0.576 O
0.279 0.919 0.055 O
0.286 0.130 0.501 O
0.369 0.221 0.984 O
0.417 0.776 0.572 O
0.437 0.576 0.222 O
0.501 0.286 0.130 O
0.502 0.703 0.871 O
0.572 0.417 0.776 O
0.576 0.222 0.437 O
0.631 0.784 0.003 O
0.703 0.871 0.502 O
0.719 0.073 0.942 O
0.776 0.572 0.417 O
0.784 0.003 0.631 O
0.871 0.502 0.703 O
0.919 0.055 0.279 O
0.942 0.719 0.073 O
0.984 0.369 0.221 O
```

Largest 10 diffraction maxima, in order of falling intensity, 2θ = 10–90°:
Position (°2θ), I/Imax
23.90, 100
31.95, 62
20.58, 37
20.00, 25
28.85, 24
36.04, 17
48.93, 17
14.31, 15
45.97, 14
56.40, 14

2.
Na2TiFeP3O12: calculated PXRD pattern (Cu Kα (λ = 1.5418 Å)), based on a DFT-relaxed cell (PBE+U, Alexandria).
No peak broadening, texture or thermal motion is included.

```
Na2TiFeP3O12
1.0
7.565 -4.375 0.000
7.565 4.375 0.000
-5.055 0.000 7.296
Na Ti Fe P O
4 2 2 6 24
Direct
0.183 0.183 0.492 Na
0.440 0.087 0.249 Na
0.817 0.817 0.508 Na
0.913 0.560 0.751 Na
0.077 0.708 0.180 Ti
0.292 0.923 0.820 Ti
0.581 0.222 0.696 Fe
0.778 0.419 0.304 Fe
0.188 0.526 0.499 P
0.385 0.317 0.989 P
0.474 0.812 0.501 P
0.683 0.615 0.011 P
0.894 0.106 0.500 P
0.974 0.026 0.000 P
0.002 0.845 0.018 O
0.019 0.508 0.497 O
0.066 0.069 0.671 O
0.139 0.564 0.325 O
0.155 0.998 0.982 O
0.204 0.488 0.010 O
0.226 0.698 0.668 O
0.302 0.774 0.332 O
0.355 0.343 0.505 O
0.362 0.149 0.984 O
0.399 0.278 0.806 O
0.436 0.861 0.675 O
0.492 0.981 0.503 O
0.512 0.796 0.990 O
0.557 0.352 0.154 O
0.648 0.443 0.846 O
0.657 0.645 0.495 O
0.716 0.122 0.511 O
0.722 0.601 0.194 O
0.806 0.050 0.825 O
0.851 0.638 0.016 O
0.878 0.284 0.489 O
0.931 0.934 0.329 O
0.950 0.194 0.175 O
```

Largest 10 diffraction maxima, in order of falling intensity, 2θ = 10–90°:
Position (°2θ), I/Imax
23.73, 100
31.95, 81
20.32, 44
20.02, 40
35.57, 36
28.67, 29
48.56, 28
31.53, 26
14.22, 19
45.89, 18

3.
Na4Pm3FeO8: calculated PXRD pattern (Cu Kα (λ = 1.5418 Å)), based on a DFT-relaxed cell (PBE+U, Alexandria).
No peak broadening, texture or thermal motion is included.

```
Na4Pm3FeO8
1.0
3.440 1.986 5.600
-3.440 1.986 5.600
0.000 -3.972 5.600
Na Pm Fe O
4 3 1 8
Direct
0.000 0.000 0.000 Na
0.000 0.500 0.500 Na
0.500 0.000 0.500 Na
0.500 0.500 0.000 Na
0.000 0.000 0.500 Pm
0.000 0.500 0.000 Pm
0.500 0.000 0.000 Pm
0.500 0.500 0.500 Fe
0.239 0.239 0.239 O
0.261 0.725 0.725 O
0.275 0.275 0.739 O
0.275 0.739 0.275 O
0.725 0.261 0.725 O
0.725 0.725 0.261 O
0.739 0.275 0.275 O
0.761 0.761 0.761 O
```

Largest 10 diffraction maxima, in order of falling intensity, 2θ = 10–90°:
Position (°2θ), I/Imax
15.82, 100
37.00, 92
31.90, 78
30.48, 53
53.26, 30
53.38, 29
63.46, 27
55.93, 21
40.46, 21
48.72, 20

4.
Na2PuFeO6: calculated PXRD pattern (Cu Kα (λ = 1.5418 Å)), based on a DFT-relaxed cell (PBE+U, Alexandria).
No peak broadening, texture or thermal motion is included.

```
Na2PuFeO6
1.0
5.643 0.000 0.000
0.000 5.643 0.000
0.000 0.000 4.154
Na Pu Fe O
2 1 1 6
Direct
0.000 0.500 0.000 Na
0.500 0.000 0.000 Na
0.000 0.000 0.533 Pu
0.500 0.500 0.490 Fe
0.000 0.000 0.034 O
0.246 0.246 0.539 O
0.246 0.754 0.539 O
0.500 0.500 0.040 O
0.754 0.246 0.539 O
0.754 0.754 0.539 O
```

Largest 10 diffraction maxima, in order of falling intensity, 2θ = 10–90°:
Position (°2θ), I/Imax
31.08, 100
22.28, 95
15.71, 80
21.39, 52
26.65, 49
31.72, 48
56.10, 39
45.47, 35
41.89, 30
35.58, 22

5.
Na3FeRh3O8: calculated PXRD pattern (Cu Kα (λ = 1.5418 Å)), based on a DFT-relaxed cell (PBE+U, Alexandria).
No peak broadening, texture or thermal motion is included.

```
Na3FeRh3O8
1.0
3.086 1.782 5.404
-3.086 1.782 5.404
0.000 -3.563 5.404
Na Fe Rh O
3 1 3 8
Direct
0.000 0.500 0.500 Na
0.500 0.000 0.500 Na
0.500 0.500 0.000 Na
0.500 0.500 0.500 Fe
0.000 0.000 0.500 Rh
0.000 0.500 0.000 Rh
0.500 0.000 0.000 Rh
0.233 0.233 0.233 O
0.233 0.731 0.731 O
0.269 0.269 0.767 O
0.269 0.767 0.269 O
0.731 0.233 0.731 O
0.731 0.731 0.233 O
0.767 0.269 0.269 O
0.767 0.767 0.767 O
```

Largest 10 diffraction maxima, in order of falling intensity, 2θ = 10–90°:
Position (°2θ), I/Imax
16.40, 100
40.43, 76
35.37, 36
34.00, 32
57.03, 22
59.96, 22
52.27, 17
33.15, 17
62.62, 15
70.25, 12

6.
Na2FeSO6: calculated PXRD pattern (Cu Kα (λ = 1.5418 Å)), based on a DFT-relaxed cell (PBE+U, Alexandria).
No peak broadening, texture or thermal motion is included.

```
Na2FeSO6
1.0
5.489 0.000 0.000
-2.744 4.753 0.000
0.000 0.000 4.811
Na Fe S O
2 1 1 6
Direct
0.333 0.667 0.367 Na
0.667 0.333 0.633 Na
0.000 0.000 0.000 Fe
0.000 0.000 0.500 S
0.141 0.282 0.714 O
0.141 0.859 0.714 O
0.282 0.141 0.286 O
0.718 0.859 0.714 O
0.859 0.141 0.286 O
0.859 0.718 0.286 O
```

Largest 10 diffraction maxima, in order of falling intensity, 2θ = 10–90°:
Position (°2θ), I/Imax
18.67, 100
32.63, 27
42.42, 26
54.26, 19
50.45, 13
64.77, 12
42.10, 10
26.36, 9
68.36, 8
71.27, 5

7.
Na2Fe3SbO8: calculated PXRD pattern (Cu Kα (λ = 1.5418 Å)), based on a DFT-relaxed cell (PBE+U, Alexandria).
No peak broadening, texture or thermal motion is included.

```
Na2Fe3SbO8
1.0
2.998 0.000 0.000
0.000 9.560 0.000
0.000 0.000 10.840
Na Fe Sb O
4 6 2 16
Direct
0.000 0.003 0.000 Na
0.000 0.525 0.213 Na
0.500 0.475 0.713 Na
0.500 0.997 0.500 Na
0.000 0.178 0.765 Fe
0.000 0.666 0.467 Fe
0.000 0.681 0.993 Fe
0.500 0.319 0.493 Fe
0.500 0.334 0.967 Fe
0.500 0.822 0.265 Fe
0.000 0.199 0.247 Sb
0.500 0.801 0.747 Sb
0.000 0.176 0.428 O
0.000 0.275 0.075 O
0.000 0.364 0.850 O
0.000 0.450 0.522 O
0.000 0.662 0.783 O
0.000 0.782 0.152 O
0.000 0.867 0.374 O
0.000 0.936 0.705 O
0.500 0.064 0.205 O
0.500 0.133 0.874 O
0.500 0.218 0.652 O
0.500 0.338 0.283 O
0.500 0.550 0.022 O
0.500 0.636 0.350 O
0.500 0.725 0.575 O
0.500 0.824 0.928 O
```

Largest 10 diffraction maxima, in order of falling intensity, 2θ = 10–90°:
Position (°2θ), I/Imax
35.48, 100
32.60, 99
18.56, 91
33.06, 56
48.72, 44
49.16, 42
18.82, 39
35.34, 36
60.14, 35
12.34, 32

8.
Na2FeSeO4: calculated PXRD pattern (Cu Kα (λ = 1.5418 Å)), based on a DFT-relaxed cell (PBE+U, Alexandria).
No peak broadening, texture or thermal motion is included.

```
Na2FeSeO4
1.0
-2.938 2.938 3.177
2.938 -2.938 3.177
2.938 2.938 -3.177
Na Fe Se O
2 1 1 4
Direct
0.000 0.000 0.000 Na
0.750 0.250 0.500 Na
0.500 0.500 0.000 Fe
0.250 0.750 0.500 Se
0.153 0.512 0.042 O
0.470 0.111 0.958 O
0.488 0.530 0.641 O
0.889 0.847 0.359 O
```

Largest 10 diffraction maxima, in order of falling intensity, 2θ = 10–90°:
Position (°2θ), I/Imax
35.58, 100
20.59, 75
57.46, 57
30.43, 48
43.57, 36
37.02, 24
66.98, 15
71.86, 13
75.32, 11
58.47, 9